The following is a theoretical powder X-ray diffraction pattern of Pm2Zn5Ag5. It was derived from a crystal structure in Alexandria, relaxed with GGA-PBE, using CuKα.
No peak broadening, texture or thermal motion is included.

Unit cell a=4.2699 b=5.6935 c=9.6493 alpha=90.00 beta=90.00 gamma=90.00
Space group Pmmm (No. 47)
Asymmetric unit:
Pm 0.0000 0.0000 0.0000 (multiplicity 1)
Pm 0.0000 0.5000 0.5000 (multiplicity 1)
Zn 0.0000 0.0000 0.3338 (multiplicity 2)
Zn 0.0000 0.5000 0.1590 (multiplicity 2)
Zn 0.5000 0.5000 0.0000 (multiplicity 1)
Ag 0.5000 0.0000 0.5000 (multiplicity 1)
Ag 0.5000 0.2494 0.2426 (multiplicity 4)

Largest 6 diffraction maxima, by angle, 2θ = 10–80°:
- 27.70 deg, I = 46
- 27.90 deg, I = 37
- 36.65 deg, I = 62
- 37.99 deg, I = 64
- 38.44 deg, I = 100
- 42.33 deg, I = 48